Entry 1:
This entry pairs a crystal structure of Ca2Pr8Y3 with its simulated PXRD pattern. Radiation: Cu Ka. Structure: a structure optimized by DFT (GGA-PBE).
Peak positions follow from Bragg's law for the DFT cell and can differ from measured ones.

Structure:
Lattice parameters (Å, degrees): 6.4049 8.3090 9.7563 95.14 108.74 105.10
Positions (direct):
Ca: 0.0398 0.0765 0.1923
Ca: 0.9602 0.9235 0.8077
Pr: 0.1193 0.2391 0.5802
Pr: 0.2720 0.5490 0.3472
Pr: 0.3444 0.6888 0.7302
Pr: 0.4298 0.8400 0.1167
Pr: 0.5702 0.1600 0.8833
Pr: 0.6556 0.3112 0.2698
Pr: 0.7280 0.4510 0.6528
Pr: 0.8807 0.7609 0.4198
Y: 0.1986 0.3973 0.9623
Y: 0.5000 0.0000 0.5000
Y: 0.8014 0.6027 0.0377

Largest 6 diffraction maxima, by intensity, 2θ = 5–70°:
d/Å  Rel. int.
3.024  100
3.016  33
1.852  23
2.615  23
2.631  22
2.606  22



Entry 2:
This entry pairs a crystal structure of CaPr4Y3 with its simulated PXRD pattern. Radiation: Cu Ka. Structure: a structure optimized by DFT (GGA-PBE).
Peak positions follow from Bragg's law for the DFT cell and can differ from measured ones.

Structure:
Lattice parameters (Å, degrees): 7.3302 7.3371 10.3523 90.00 90.00 90.00
Positions (direct):
Ca: 0.0000 0.0000 0.0000
Ca: 0.5000 0.0000 0.5000
Pr: 0.0000 0.0000 0.5000
Pr: 0.0000 0.5000 0.5000
Pr: 0.2500 0.2551 0.2500
Pr: 0.2500 0.7449 0.7500
Pr: 0.5000 0.0000 0.0000
Pr: 0.5000 0.5000 0.0000
Pr: 0.7500 0.2551 0.2500
Pr: 0.7500 0.7449 0.7500
Y: 0.0000 0.5000 0.0000
Y: 0.2500 0.2579 0.7500
Y: 0.2500 0.7421 0.2500
Y: 0.5000 0.5000 0.5000
Y: 0.7500 0.2579 0.7500
Y: 0.7500 0.7421 0.2500

Largest 6 diffraction maxima, by intensity, 2θ = 5–70°:
d/Å  Rel. int.
2.992  100
2.591  50
1.832  35
1.563  35
1.496  12
5.984  11



Entry 3:
This entry pairs a crystal structure of Ca2Pr12Y5 with its simulated PXRD pattern. Radiation: Cu Ka. Structure: a structure optimized by DFT (GGA-PBE).
Peak positions follow from Bragg's law for the DFT cell and can differ from measured ones.

Structure:
Lattice parameters (Å, degrees): 10.9665 10.9665 10.6403 112.23 112.23 38.86
Positions (direct):
Ca: 0.2386 0.7614 0.0000
Ca: 0.7614 0.2386 0.0000
Pr: 0.0350 0.0350 0.3907
Pr: 0.0734 0.5594 0.3956
Pr: 0.0859 0.5307 0.9362
Pr: 0.3658 0.3658 0.6930
Pr: 0.4406 0.9266 0.6044
Pr: 0.4693 0.9141 0.0638
Pr: 0.5307 0.0859 0.9362
Pr: 0.5594 0.0734 0.3956
Pr: 0.6342 0.6342 0.3070
Pr: 0.9141 0.4693 0.0638
Pr: 0.9266 0.4406 0.6044
Pr: 0.9650 0.9650 0.6093
Y: 0.1296 0.1296 0.8019
Y: 0.1610 0.1610 0.2959
Y: 0.5000 0.5000 0.5000
Y: 0.8390 0.8390 0.7041
Y: 0.8704 0.8704 0.1981

Largest 6 diffraction maxima, by intensity, 2θ = 5–70°:
d/Å  Rel. int.
2.619  100
9.473  85
2.871  79
3.407  79
2.805  72
2.922  64



Entry 4:
This entry pairs a crystal structure of CaPr2Y7 with its simulated PXRD pattern. Radiation: Cu Ka. Structure: a structure optimized by DFT (GGA-PBE).
Peak positions follow from Bragg's law for the DFT cell and can differ from measured ones.

Structure:
Lattice parameters (Å, degrees): 6.2629 6.2818 9.5882 71.22 71.21 80.52
Positions (direct):
Ca: 0.0000 0.0000 0.0000
Pr: 0.4932 0.1011 0.3027
Pr: 0.5068 0.8989 0.6973
Y: 0.0010 0.3962 0.2043
Y: 0.0010 0.7961 0.4044
Y: 0.4990 0.3109 0.8971
Y: 0.5000 0.5000 0.5000
Y: 0.5010 0.6891 0.1029
Y: 0.9990 0.2039 0.5956
Y: 0.9990 0.6038 0.7957

Largest 6 diffraction maxima, by intensity, 2θ = 5–70°:
d/Å  Rel. int.
2.961  100
1.817  17
2.575  17
2.554  17
2.564  17
1.810  11



Entry 5:
This entry pairs a crystal structure of Ca2Pr5Y with its simulated PXRD pattern. Radiation: Cu Ka. Structure: a structure optimized by DFT (GGA-PBE).
Peak positions follow from Bragg's law for the DFT cell and can differ from measured ones.

Structure:
Lattice parameters (Å, degrees): 5.2472 5.2472 21.4114 90.00 90.00 90.00
Positions (direct):
Ca: 0.0000 0.0000 0.2497
Ca: 0.0000 0.0000 0.7503
Ca: 0.5000 0.5000 0.2503
Ca: 0.5000 0.5000 0.7497
Pr: 0.0000 0.0000 0.0000
Pr: 0.0000 0.5000 0.1184
Pr: 0.0000 0.5000 0.3816
Pr: 0.0000 0.5000 0.6184
Pr: 0.0000 0.5000 0.8816
Pr: 0.5000 0.0000 0.1184
Pr: 0.5000 0.0000 0.3816
Pr: 0.5000 0.0000 0.6184
Pr: 0.5000 0.0000 0.8816
Pr: 0.5000 0.5000 0.5000
Y: 0.0000 0.0000 0.5000
Y: 0.5000 0.5000 0.0000

Largest 6 diffraction maxima, by intensity, 2θ = 5–70°:
d/Å  Rel. int.
3.049  100
2.624  34
1.585  28
1.874  23
10.706  20
2.676  17



Entry 6:
This entry pairs a crystal structure of Ca2PrZn with its simulated PXRD pattern. Radiation: Cu Ka. Structure: a structure optimized by DFT (GGA-PBE).
Peak positions follow from Bragg's law for the DFT cell and can differ from measured ones.

Structure:
Lattice parameters (Å, degrees): 5.3000 5.3000 18.6945 90.00 90.00 90.00
Positions (direct):
Ca: 0.0000 0.0000 0.1528
Ca: 0.0000 0.0000 0.8472
Ca: 0.0000 0.5000 0.0000
Ca: 0.0000 0.5000 0.5000
Ca: 0.5000 0.0000 0.0000
Ca: 0.5000 0.0000 0.5000
Ca: 0.5000 0.5000 0.3472
Ca: 0.5000 0.5000 0.6528
Pr: 0.0000 0.0000 0.3398
Pr: 0.0000 0.0000 0.6602
Pr: 0.5000 0.5000 0.1602
Pr: 0.5000 0.5000 0.8398
Zn: 0.0000 0.5000 0.2500
Zn: 0.0000 0.5000 0.7500
Zn: 0.5000 0.0000 0.2500
Zn: 0.5000 0.0000 0.7500

Largest 6 diffraction maxima, by intensity, 2θ = 5–70°:
d/Å  Rel. int.
2.924  100
9.347  69
2.650  60
2.396  42
4.037  39
1.578  29



Entry 7:
This entry pairs a crystal structure of CaPr2Zn6 with its simulated PXRD pattern. Radiation: Cu Ka. Structure: a structure optimized by DFT (GGA-PBE).
Peak positions follow from Bragg's law for the DFT cell and can differ from measured ones.

Structure:
Lattice parameters (Å, degrees): 7.9494 7.9494 3.6363 90.00 90.00 120.00
Positions (direct):
Ca: 0.0000 0.0000 0.0000
Pr: 0.3333 0.6667 0.0000
Pr: 0.6667 0.3333 0.0000
Zn: 0.0000 0.3305 0.5000
Zn: 0.0000 0.6695 0.5000
Zn: 0.3305 0.0000 0.5000
Zn: 0.3305 0.3305 0.5000
Zn: 0.6695 0.0000 0.5000
Zn: 0.6695 0.6695 0.5000

Largest 6 diffraction maxima, by intensity, 2θ = 5–70°:
d/Å  Rel. int.
2.683  100
2.295  62
1.744  27
1.425  26
1.388  25
6.884  14



Entry 8:
This entry pairs a crystal structure of CaPr4Zn4 with its simulated PXRD pattern. Radiation: Cu Ka. Structure: a structure optimized by DFT (GGA-PBE).
Peak positions follow from Bragg's law for the DFT cell and can differ from measured ones.

Structure:
Lattice parameters (Å, degrees): 9.6426 9.6426 5.9083 90.00 90.00 90.00
Positions (direct):
Ca: 0.2500 0.2500 0.2500
Ca: 0.7500 0.7500 0.7500
Pr: 0.0860 0.6624 0.1279
Pr: 0.1624 0.9140 0.6279
Pr: 0.3376 0.5860 0.6279
Pr: 0.4140 0.8376 0.1279
Pr: 0.5860 0.1624 0.8721
Pr: 0.6624 0.4140 0.3721
Pr: 0.8376 0.0860 0.3721
Pr: 0.9140 0.3376 0.8721
Zn: 0.0154 0.6064 0.6253
Zn: 0.1064 0.9846 0.1253
Zn: 0.3936 0.5154 0.1253
Zn: 0.4846 0.8936 0.6253
Zn: 0.5154 0.1064 0.3747
Zn: 0.6064 0.4846 0.8747
Zn: 0.8936 0.0154 0.8747
Zn: 0.9846 0.3936 0.3747

Largest 6 diffraction maxima, by intensity, 2θ = 5–70°:
d/Å  Rel. int.
3.049  100
2.824  84
6.818  60
2.437  54
2.175  43
2.710  35



Entry 9:
This entry pairs a crystal structure of Ca5Pt7 with its simulated PXRD pattern. Radiation: Cu Ka. Structure: a structure optimized by DFT (GGA-PBE).
Peak positions follow from Bragg's law for the DFT cell and can differ from measured ones.

Structure:
Lattice parameters (Å, degrees): 3.4565 3.4565 21.7116 90.00 90.00 90.00
Positions (direct):
Ca: 0.0000 0.0000 0.0000
Ca: 0.0000 0.0000 0.1602
Ca: 0.0000 0.0000 0.3223
Ca: 0.0000 0.0000 0.4854
Ca: 0.5000 0.5000 0.8354
Pt: 0.0000 0.0000 0.6288
Pt: 0.0000 0.0000 0.7566
Pt: 0.5000 0.5000 0.0743
Pt: 0.5000 0.5000 0.2401
Pt: 0.5000 0.5000 0.4033
Pt: 0.5000 0.5000 0.5714
Pt: 0.5000 0.5000 0.6979

Largest 6 diffraction maxima, by intensity, 2θ = 5–70°:
d/Å  Rel. int.
10.856  100
2.444  73
2.499  61
2.308  50
2.134  28
1.728  26



Entry 10:
This entry pairs a crystal structure of CaPt with its simulated PXRD pattern. Radiation: Cu Ka. Structure: a structure optimized by DFT (GGA-PBE).
Peak positions follow from Bragg's law for the DFT cell and can differ from measured ones.

Structure:
Lattice parameters (Å, degrees): 7.1355 4.0178 9.2147 90.00 105.33 90.00
Positions (direct):
Ca: 0.0000 0.0000 0.0000
Ca: 0.0000 0.0000 0.5000
Ca: 0.3453 0.0000 0.3543
Ca: 0.3576 0.5000 0.0803
Ca: 0.6424 0.5000 0.9197
Ca: 0.6547 0.0000 0.6457
Pt: 0.0011 0.5000 0.7687
Pt: 0.3157 0.0000 0.8240
Pt: 0.3319 0.5000 0.6085
Pt: 0.6681 0.5000 0.3915
Pt: 0.6843 0.0000 0.1760
Pt: 0.9989 0.5000 0.2313

Largest 6 diffraction maxima, by intensity, 2θ = 5–70°:
d/Å  Rel. int.
2.573  100
2.481  91
4.855  38
1.512  38
2.294  37
2.300  34



Entry 11:
This entry pairs a crystal structure of Ca2Pt7 with its simulated PXRD pattern. Radiation: Cu Ka. Structure: a structure optimized by DFT (GGA-PBE).
Peak positions follow from Bragg's law for the DFT cell and can differ from measured ones.

Structure:
Lattice parameters (Å, degrees): 13.6110 13.6110 13.6110 22.99 22.99 22.99
Positions (direct):
Ca: 0.0504 0.0504 0.0504
Ca: 0.1484 0.1484 0.1484
Ca: 0.8516 0.8516 0.8516
Ca: 0.9496 0.9496 0.9496
Pt: 0.0000 0.5000 0.5000
Pt: 0.1085 0.6131 0.6131
Pt: 0.2774 0.2774 0.2774
Pt: 0.3869 0.3869 0.8915
Pt: 0.3869 0.8915 0.3869
Pt: 0.3886 0.3886 0.3886
Pt: 0.5000 0.0000 0.5000
Pt: 0.5000 0.5000 0.0000
Pt: 0.5000 0.5000 0.5000
Pt: 0.6114 0.6114 0.6114
Pt: 0.6131 0.1085 0.6131
Pt: 0.6131 0.6131 0.1085
Pt: 0.7226 0.7226 0.7226
Pt: 0.8915 0.3869 0.3869

Largest 6 diffraction maxima, by intensity, 2θ = 5–70°:
d/Å  Rel. int.
2.311  100
4.665  86
2.123  57
2.022  41
2.208  39
1.356  28



Entry 12:
This entry pairs a crystal structure of Ca3Pt4 with its simulated PXRD pattern. Radiation: Cu Ka. Structure: a structure optimized by DFT (GGA-PBE).
Peak positions follow from Bragg's law for the DFT cell and can differ from measured ones.

Structure:
Lattice parameters (Å, degrees): 5.2818 5.2818 5.2818 99.89 99.89 99.89
Positions (direct):
Ca: 0.1519 0.5960 0.2521
Ca: 0.2521 0.1519 0.5960
Ca: 0.5960 0.2521 0.1519
Pt: 0.4500 0.7127 0.8443
Pt: 0.7127 0.8443 0.4500
Pt: 0.8443 0.4500 0.7127
Pt: 0.9902 0.9902 0.9902

Largest 6 diffraction maxima, by intensity, 2θ = 5–70°:
d/Å  Rel. int.
2.493  100
2.154  67
5.090  45
2.471  31
1.518  21
4.043  18